Diffraction record for Al2SiAg7. The X-ray diffraction stick pattern is computed, not measured: it uses the GGA-PBE geometry in the Materials Project and Cu Kα, 1.54184 Å.
Neutral-atom scattering factors, no anomalous dispersion.

Peak list (10 most intense, 2θ from 10° to 90°, low angle first)
d = 3.150 Å, 28.3 deg, I = 21
d = 3.123 Å, 28.6 deg, I = 18
d = 2.353 Å, 38.2 deg, I = 100
d = 2.347 Å, 38.4 deg, I = 60
d = 2.328 Å, 38.7 deg, I = 98
d = 2.311 Å, 39.0 deg, I = 39
d = 2.227 Å, 40.5 deg, I = 79
d = 2.219 Å, 40.7 deg, I = 31
d = 2.205 Å, 40.9 deg, I = 52
d = 2.117 Å, 42.7 deg, I = 23

Structure:
Cell: 6.9704 7.0451 7.0146 Å, 90.00 91.18 90.00°
Fractional positions:
Al: 0.1894 0.0000 0.0577
Al: 0.3096 0.6227 0.5646
Al: 0.6904 0.1227 0.4354
Al: 0.8106 0.5000 0.9423
Si: 0.0634 0.7450 0.8122
Si: 0.9366 0.2450 0.1878
Ag: 0.0433 0.9289 0.4544
Ag: 0.1231 0.6041 0.2038
Ag: 0.2016 0.3526 0.8762
Ag: 0.2951 0.2656 0.3741
Ag: 0.3738 0.0076 0.7073
Ag: 0.4330 0.8729 0.3163
Ag: 0.4555 0.6792 0.9504
Ag: 0.5445 0.1792 0.0496
Ag: 0.5670 0.3729 0.6837
Ag: 0.6262 0.5076 0.2927
Ag: 0.7049 0.7656 0.6259
Ag: 0.7984 0.8526 0.1238
Ag: 0.8769 0.1041 0.7962
Ag: 0.9567 0.4289 0.5456

***

Diffraction record for SrTcN3. The X-ray diffraction stick pattern is computed, not measured: it uses the GGA-PBE geometry in the Materials Project and Cu Kα, 1.54184 Å.
Neutral-atom scattering factors, no anomalous dispersion.

Peak list (10 most intense, 2θ from 10° to 90°, low angle first)
d = 3.279 Å, 27.2 deg, I = 76
d = 3.177 Å, 28.1 deg, I = 31
d = 2.989 Å, 29.9 deg, I = 15
d = 2.860 Å, 31.3 deg, I = 49
d = 2.649 Å, 33.8 deg, I = 100
d = 2.126 Å, 42.5 deg, I = 28
d = 2.109 Å, 42.9 deg, I = 18
d = 1.607 Å, 57.3 deg, I = 21
d = 1.601 Å, 57.6 deg, I = 15
d = 1.497 Å, 62.0 deg, I = 19

Structure:
Cell: 6.6955 6.6955 5.7196 Å, 90.00 90.00 143.28°
Fractional positions:
Sr: 0.1312 0.8688 0.7500
Sr: 0.8688 0.1312 0.2500
Tc: 0.4053 0.5947 0.7500
Tc: 0.5947 0.4053 0.2500
N: 0.0453 0.6536 0.2457
N: 0.3464 0.9547 0.2543
N: 0.4558 0.4558 0.5000
N: 0.5442 0.5442 0.0000
N: 0.6536 0.0453 0.7543
N: 0.9547 0.3464 0.7457

***

Diffraction record for MnC3NCl3. The X-ray diffraction stick pattern is computed, not measured: it uses the GGA-PBE geometry in the Materials Project and Cu Kα, 1.54184 Å.
Neutral-atom scattering factors, no anomalous dispersion.

Peak list (10 most intense, 2θ from 10° to 90°, low angle first)
d = 7.444 Å, 11.9 deg, I = 100
d = 4.305 Å, 20.6 deg, I = 12
d = 4.283 Å, 20.7 deg, I = 4
d = 3.158 Å, 28.3 deg, I = 4
d = 3.146 Å, 28.4 deg, I = 9
d = 2.962 Å, 30.2 deg, I = 14
d = 2.435 Å, 36.9 deg, I = 8
d = 2.315 Å, 38.9 deg, I = 9
d = 2.040 Å, 44.4 deg, I = 13
d = 2.035 Å, 44.5 deg, I = 6

Structure:
Cell: 14.9404 5.9130 8.5662 Å, 90.00 90.00 90.00°
Fractional positions:
Mn: 0.0000 0.0000 0.0000
Mn: 0.0000 0.5000 0.0000
Mn: 0.5000 0.0000 0.5000
Mn: 0.5000 0.5000 0.5000
C: 0.1263 0.1376 0.4555
C: 0.1263 0.3624 0.4555
C: 0.2405 0.2500 0.6897
C: 0.2595 0.7500 0.1897
C: 0.3737 0.6376 0.9555
C: 0.3737 0.8624 0.9555
C: 0.6263 0.1376 0.0445
C: 0.6263 0.3624 0.0445
C: 0.7405 0.2500 0.8103
C: 0.7595 0.7500 0.3103
C: 0.8737 0.6376 0.5445
C: 0.8737 0.8624 0.5445
N: 0.1881 0.2500 0.5826
N: 0.3119 0.7500 0.0826
N: 0.6881 0.2500 0.9174
N: 0.8119 0.7500 0.4174
Cl: 0.0265 0.7500 0.2110
Cl: 0.0913 0.7500 0.8533
Cl: 0.1194 0.2500 0.0660
Cl: 0.3806 0.7500 0.5660
Cl: 0.4087 0.2500 0.3533
Cl: 0.4735 0.2500 0.7110
Cl: 0.5265 0.7500 0.2890
Cl: 0.5913 0.7500 0.6467
Cl: 0.6194 0.2500 0.4340
Cl: 0.8806 0.7500 0.9340
Cl: 0.9087 0.2500 0.1467
Cl: 0.9735 0.2500 0.7890